Theoretical powder diffraction line list of BaTlCr2O8 for a wavelength of 1.5418 Å, from DFT lattice parameters and positions (PBE+U).
Kinematic intensities with the Lorentz-polarization factor, no thermal factor.

Main lines, by angle (10° ≤ 2θ ≤ 90°):
2θ = 17.98°, I = 91
2θ = 21.14°, I = 46
2θ = 28.70°, I = 100
2θ = 31.40°, I = 62
2θ = 38.78°, I = 31
2θ = 43.05°, I = 46
2θ = 48.83°, I = 15
2θ = 49.06°, I = 16
2θ = 54.25°, I = 33
2θ = 56.11°, I = 20

Structure:
Cell: 5.698 5.698 8.016 Å, 90.00 90.00 120.00°
Fractional coordinates of all 12 atoms:
Ba  0.000  0.000  0.000
Tl  0.000  0.000  0.500
Cr  0.333  0.667  0.783
Cr  0.667  0.333  0.217
O  0.172  0.343  0.719
O  0.172  0.828  0.719
O  0.333  0.667  0.988
O  0.343  0.172  0.281
O  0.657  0.828  0.719
O  0.667  0.333  0.012
O  0.828  0.172  0.281
O  0.828  0.657  0.281